[1]
The following is a theoretical PXRD pattern of Na3CdPCO7. It was derived from DFT lattice parameters and positions (PBE), using λ = 1.5418 Å (Cu Kα).
Peak positions follow from Bragg's law for the DFT cell and can differ from measured ones.

Lattice parameters (Å, degrees): 5.255 7.004 9.176 90.00 90.16 90.00
Space group P2_1/m (No. 11)
Symmetry-distinct sites (fractional):
Na 0.240 0.250 0.417 [2 per cell]
Na 0.246 0.503 0.759 [4 per cell]
Cd 0.230 0.750 0.136 [2 per cell]
P 0.298 0.250 0.093 [2 per cell]
C 0.264 0.750 0.443 [2 per cell]
O 0.040 0.750 0.383 [2 per cell]
O 0.196 0.250 0.933 [2 per cell]
O 0.208 0.073 0.182 [4 per cell]
O 0.287 0.750 0.584 [2 per cell]
O 0.404 0.750 0.914 [2 per cell]
O 0.468 0.750 0.362 [2 per cell]

Largest 8 diffraction maxima, by angle, 2θ from 10° to 90°:
2θ = 15.92°, rel. 41, hkl 0 1 1
2θ = 25.43°, rel. 79, hkl 0 2 0
2θ = 25.79°, rel. 53, hkl 1 0 2
2θ = 32.21°, rel. 100, hkl 1 2 1
2θ = 34.12°, rel. 52, hkl 2 0 0
2θ = 41.66°, rel. 45, hkl 2 1 2
2θ = 47.37°, rel. 38, hkl 0 2 4
2θ = 52.25°, rel. 38, hkl 0 4 0

***

[2]
The following is a theoretical PXRD pattern of Bi4Te3. It was derived from DFT lattice parameters and positions (PBE), using λ = 1.5418 Å (Cu Kα).
Peak positions follow from Bragg's law for the DFT cell and can differ from measured ones.

Lattice parameters (Å, degrees): 4.5100 4.5100 42.7140 90.00 90.00 120.00
Space group R-3m (No. 166, hexagonal axes)
Symmetry-distinct sites (fractional):
Bi 0.0000 0.0000 0.1472 [6 per cell]
Bi 0.0000 0.0000 0.2861 [6 per cell]
Te 0.0000 0.0000 0.0000 [3 per cell]
Te 0.0000 0.0000 0.4205 [6 per cell]

Largest 8 diffraction maxima, by angle, 2θ from 10° to 90°:
2θ = 27.11°, rel. 100, hkl 1 0 7
2θ = 37.40°, rel. 39, hkl 0 1 14
2θ = 39.98°, rel. 38, hkl 1 1 0
2θ = 48.97°, rel. 20, hkl 0 2 7
2θ = 55.90°, rel. 12, hkl 2 0 14
2θ = 61.38°, rel. 15, hkl 1 1 21
2θ = 65.00°, rel. 18, hkl 2 1 7
2θ = 70.92°, rel. 12, hkl 1 2 14